(1)
Simulated powder XRD pattern of CeB for Cu Kα X-rays, from a crystal structure in Alexandria, relaxed with PBE.
Lines closer than 0.1° are merged.

Main lines, in order of falling intensity (15 to 90 degrees two-theta):
2theta	d [Å]	I/Imax	h k l
33.00	2.715	1000	0 1 1
38.21	2.356	454	1 1 -1
23.82	3.736	413	1 0 0
36.76	2.445	312	1 0 -2
37.04	2.427	259	1 1 0
34.70	2.585	207	0 0 2

Atomic structure:
```
data_CeB
_chemical_formula_sum 'Ce2 B2'
_space_group_name_H-M_alt 'P 1 21/m 1'
_space_group_IT_number 11
_cell_length_a 3.8697
_cell_length_b 3.1921
_cell_length_c 5.3556
_cell_angle_alpha 90.00
_cell_angle_beta 105.11
_cell_angle_gamma 90.00
loop_
_space_group_symop_operation_xyz
'x,y,z'
'-x,-y,-z'
'-x,y+1/2,-z'
'x,-y+1/2,z'
loop_
_atom_site_label
_atom_site_type_symbol
_atom_site_fract_x
_atom_site_fract_y
_atom_site_fract_z
Ce1 Ce 0.1164 0.2500 0.2991
B1 B 0.4835 0.2500 0.9310
```

(2)
Simulated powder XRD pattern of Tm12CdAu6 for Cu Kα X-rays, from a crystal structure in Alexandria, relaxed with PBE.
Lines closer than 0.1° are merged.

Main lines, in order of falling intensity (15 to 90 degrees two-theta):
2theta	d [Å]	I/Imax	h k l
36.28	2.476	1000	4 1 0
38.10	2.362	786	3 -1 4
22.16	4.011	585	3 -1 1
32.58	2.748	366	1 0 4
53.62	1.709	278	2 4 4
66.46	1.407	262	8 -5 4

Atomic structure:
```
data_Tm12CdAu6
_chemical_formula_sum 'Tm36 Cd3 Au18'
_space_group_name_H-M_alt 'R -3'
_space_group_IT_number 148
_space_group_name_Hall '-R 3'
_cell_length_a 13.1039
_cell_length_b 13.1039
_cell_length_c 11.3187
_cell_angle_alpha 90.00
_cell_angle_beta 90.00
_cell_angle_gamma 120.00
loop_
_atom_site_label
_atom_site_type_symbol
_atom_site_fract_x
_atom_site_fract_y
_atom_site_fract_z
Tm1 Tm 0.0350 0.8201 0.3912
Tm2 Tm 0.0423 0.8178 0.8962
Cd1 Cd 0.0000 0.0000 0.0000
Au1 Au 0.0459 0.7878 0.6488
```

(3)
Simulated powder XRD pattern of Rb4Ag for Cu Kα X-rays, from a crystal structure in Alexandria, relaxed with PBE.
Lines closer than 0.1° are merged.

Main lines, in order of falling intensity (15 to 90 degrees two-theta):
2theta	d [Å]	I/Imax	h k l
24.41	3.647	1000	1 4 1
22.53	3.946	550	2 1 1
28.16	3.168	439	1 3 2
29.18	3.061	411	2 0 2
32.37	2.766	356	3 3 0
39.99	2.255	295	1 4 3

Atomic structure:
```
data_Rb4Ag
_chemical_formula_sum 'Rb16 Ag4'
_space_group_name_H-M_alt 'I b a m'
_space_group_IT_number 72
_space_group_name_Hall '-I 2 2c'
_cell_length_a 9.3274
_cell_length_b 18.1753
_cell_length_c 8.1061
_cell_angle_alpha 90.00
_cell_angle_beta 90.00
_cell_angle_gamma 90.00
loop_
_atom_site_label
_atom_site_type_symbol
_atom_site_fract_x
_atom_site_fract_y
_atom_site_fract_z
Rb1 Rb 0.1428 0.1640 0.0000
Rb2 Rb 0.1955 0.4252 0.0000
Ag1 Ag 0.0000 0.0000 0.2500
```

(4)
Simulated powder XRD pattern of Ba3Sr4Ca4 for Cu Kα X-rays, from a crystal structure in Alexandria, relaxed with PBE.
Lines closer than 0.1° are merged.

Main lines, in order of falling intensity (15 to 90 degrees two-theta):
2theta	d [Å]	I/Imax	h k l
26.98	3.304	1000	0 2 -1
26.84	3.321	508	0 1 5
47.59	1.911	255	0 3 4
38.58	2.334	189	1 2 -5
47.37	1.919	103	0 0 11
47.66	1.908	101	1 3 0

Atomic structure:
```
data_Ba3Sr4Ca4
_chemical_formula_sum 'Ba3 Sr4 Ca4'
_space_group_name_H-M_alt 'P -1'
_space_group_IT_number 2
_cell_length_a 4.0414
_cell_length_b 6.6058
_cell_length_c 21.4190
_cell_angle_alpha 98.84
_cell_angle_beta 93.18
_cell_angle_gamma 90.04
loop_
_space_group_symop_operation_xyz
'x,y,z'
'-x,-y,-z'
loop_
_atom_site_label
_atom_site_type_symbol
_atom_site_fract_x
_atom_site_fract_y
_atom_site_fract_z
Ba1 Ba 0.0000 0.0000 0.0000
Ba2 Ba 0.0994 0.6368 0.2733
Sr1 Sr 0.1889 0.2719 0.5441
Sr2 Sr 0.2805 0.9090 0.8183
Ca1 Ca 0.3744 0.5445 0.0891
Ca2 Ca 0.4743 0.1824 0.3648
```

(5)
Simulated powder XRD pattern of Pd3Pt2W for Cu Kα X-rays, from a crystal structure in Alexandria, relaxed with PBE.
Lines closer than 0.1° are merged.

Main lines, in order of falling intensity (15 to 90 degrees two-theta):
2theta	d [Å]	I/Imax	h k l
21.31	4.169	1000	1 2 0
39.54	2.279	753	1 2 1
43.42	2.084	752	2 4 0
40.97	2.203	485	4 0 0
49.55	1.840	455	3 2 1
45.19	2.007	341	1 3 1

Atomic structure:
```
data_Pd3Pt2W
_chemical_formula_sum 'Pd6 Pt4 W2'
_space_group_name_H-M_alt 'P n n m'
_space_group_IT_number 58
_cell_length_a 8.8110
_cell_length_b 9.4635
_cell_length_c 2.7218
_cell_angle_alpha 90.00
_cell_angle_beta 90.00
_cell_angle_gamma 90.00
loop_
_space_group_symop_operation_xyz
'x,y,z'
'-x,-y,-z'
'-x,-y,z'
'x,y,-z'
'x+1/2,-y+1/2,-z+1/2'
'-x+1/2,y+1/2,z+1/2'
'-x+1/2,y+1/2,-z+1/2'
'x+1/2,-y+1/2,z+1/2'
loop_
_atom_site_label
_atom_site_type_symbol
_atom_site_fract_x
_atom_site_fract_y
_atom_site_fract_z
Pd1 Pd 0.0000 0.0000 0.0000
Pd2 Pd 0.0259 0.2585 0.5000
Pt1 Pt 0.2403 0.9008 0.5000
W1 W 0.0000 0.5000 0.0000
```

(6)
Simulated powder XRD pattern of LiZn2PO4 for Cu Kα X-rays, from a crystal structure in Alexandria, relaxed with PBE.
Lines closer than 0.1° are merged.

Main lines, in order of falling intensity (15 to 90 degrees two-theta):
2theta	d [Å]	I/Imax	h k l
40.19	2.244	1000	2 0 2
36.13	2.486	568	0 2 2
21.95	4.050	561	0 2 0
46.26	1.962	500	2 2 2
61.70	1.503	497	2 4 2
44.75	2.025	436	0 4 0

Atomic structure:
```
data_LiZn2PO4
_chemical_formula_sum 'Li4 Zn8 P4 O16'
_space_group_name_H-M_alt 'F m m 2'
_space_group_IT_number 42
_space_group_name_Hall 'F 2 -2'
_cell_length_a 6.3957
_cell_length_b 8.1004
_cell_length_c 6.2969
_cell_angle_alpha 90.00
_cell_angle_beta 90.00
_cell_angle_gamma 90.00
loop_
_atom_site_label
_atom_site_type_symbol
_atom_site_fract_x
_atom_site_fract_y
_atom_site_fract_z
Li1 Li 0.0000 0.0000 0.0000
Zn1 Zn 0.2500 0.2500 0.2298
P1 P 0.0000 0.0000 0.4652
O1 O 0.0000 0.2467 0.4564
O2 O 0.1988 0.0000 0.6278
```

(7)
Simulated powder XRD pattern of RbCuPO4 for Cu Kα X-rays, from a crystal structure in Alexandria, relaxed with PBE.
Lines closer than 0.1° are merged.

Main lines, in order of falling intensity (15 to 90 degrees two-theta):
2theta	d [Å]	I/Imax	h k l
27.87	3.202	1000	1 2 1
27.53	3.240	520	2 1 1
35.04	2.561	403	0 0 2
30.11	2.968	384	3 1 0
43.46	2.082	346	4 1 1
27.23	3.275	283	2 2 0

Atomic structure:
```
data_RbCuPO4
_chemical_formula_sum 'Rb4 Cu4 P4 O16'
_space_group_name_H-M_alt 'P n a 21'
_space_group_IT_number 33
_cell_length_a 9.4169
_cell_length_b 9.1139
_cell_length_c 5.1213
_cell_angle_alpha 90.00
_cell_angle_beta 90.00
_cell_angle_gamma 90.00
loop_
_space_group_symop_operation_xyz
'x,y,z'
'-x,-y,z+1/2'
'-x+1/2,y+1/2,z+1/2'
'x+1/2,-y+1/2,z'
loop_
_atom_site_label
_atom_site_type_symbol
_atom_site_fract_x
_atom_site_fract_y
_atom_site_fract_z
Rb1 Rb 0.0064 0.1759 0.0000
Cu1 Cu 0.1389 0.6306 0.9762
P1 P 0.1960 0.4305 0.4540
O1 O 0.0680 0.3333 0.5331
O2 O 0.1640 0.8437 0.0097
O3 O 0.1968 0.4571 0.1515
O4 O 0.2005 0.5790 0.6013
```

(8)
Simulated powder XRD pattern of Nd5TlCd4 for Cu Kα X-rays, from a crystal structure in Alexandria, relaxed with PBE.
Lines closer than 0.1° are merged.

Main lines, in order of falling intensity (15 to 90 degrees two-theta):
2theta	d [Å]	I/Imax	h k l
32.63	2.745	1000	1 0 5
32.94	2.719	491	1 1 0
58.62	1.575	368	2 1 5
58.02	1.590	186	1 1 10
47.27	1.923	178	2 0 0
68.36	1.372	113	2 0 10

Atomic structure:
```
data_Nd5TlCd4
_chemical_formula_sum 'Nd5 Tl1 Cd4'
_space_group_name_H-M_alt 'P 4/m m m'
_space_group_IT_number 123
_space_group_name_Hall '-P 4 2'
_cell_length_a 3.8457
_cell_length_b 3.8457
_cell_length_c 19.5918
_cell_angle_alpha 90.00
_cell_angle_beta 90.00
_cell_angle_gamma 90.00
loop_
_atom_site_label
_atom_site_type_symbol
_atom_site_fract_x
_atom_site_fract_y
_atom_site_fract_z
Nd1 Nd 0.0000 0.0000 0.0000
Nd2 Nd 0.0000 0.0000 0.1980
Nd3 Nd 0.0000 0.0000 0.3958
Tl1 Tl 0.5000 0.5000 0.5000
Cd1 Cd 0.5000 0.5000 0.0994
Cd2 Cd 0.5000 0.5000 0.2960
```

Question: Which formula does entry 2 have?
Answer: Tm12CdAu6